Entry 1:
# MnF3
Simulated powder diffraction line list, Cu Kα. Input: DFT lattice parameters and positions (PBE+U).
Neutral-atom scattering factors, no anomalous dispersion.

Cell lengths 12.4855, 12.4855, 3.9074 Å; angles 90.00, 90.00, 90.00 degrees
Fractional positions:
Mn 0.0000 0.5000 0.0000
Mn 0.0778 0.2076 0.0000
Mn 0.2076 0.9222 0.0000
Mn 0.2924 0.4222 0.0000
Mn 0.4222 0.7076 0.0000
Mn 0.5000 0.0000 0.0000
Mn 0.5778 0.2924 0.0000
Mn 0.7076 0.5778 0.0000
Mn 0.7924 0.0778 0.0000
Mn 0.9222 0.7924 0.0000
F 0.0000 0.5000 0.5000
F 0.0019 0.3464 0.0000
F 0.0612 0.8559 0.0000
F 0.0790 0.2083 0.5000
F 0.1441 0.0612 0.0000
F 0.1536 0.4981 0.0000
F 0.2083 0.9210 0.5000
F 0.2163 0.2837 0.0000
F 0.2837 0.7837 0.0000
F 0.2917 0.4210 0.5000
F 0.3464 0.9981 0.0000
F 0.3559 0.5612 0.0000
F 0.4210 0.7083 0.5000
F 0.4388 0.3559 0.0000
F 0.4981 0.8464 0.0000
F 0.5000 0.0000 0.5000
F 0.5019 0.1536 0.0000
F 0.5612 0.6441 0.0000
F 0.5790 0.2917 0.5000
F 0.6441 0.4388 0.0000
F 0.6536 0.0019 0.0000
F 0.7083 0.5790 0.5000
F 0.7163 0.2163 0.0000
F 0.7837 0.7163 0.0000
F 0.7917 0.0790 0.5000
F 0.8464 0.5019 0.0000
F 0.8559 0.9388 0.0000
F 0.9210 0.7917 0.5000
F 0.9388 0.1441 0.0000
F 0.9981 0.6536 0.0000

The 10 most intense peaks (15 to 90 degrees two-theta), in order of rising 2θ:
- 15.87°, I = 61
- 22.52°, I = 83
- 22.76°, I = 100
- 25.73°, I = 47
- 29.50°, I = 24
- 45.97°, I = 25
- 46.50°, I = 34
- 48.94°, I = 17
- 51.77°, I = 33
- 72.10°, I = 20

***

Entry 2:
# Mn3F8
Simulated powder diffraction line list, Cu Kα. Input: DFT lattice parameters and positions (PBE+U).
Neutral-atom scattering factors, no anomalous dispersion.

Cell lengths 6.4768, 6.4768, 9.2837 Å; angles 90.34, 90.34, 120.35 degrees
Fractional positions:
Mn 0.0834 0.9166 0.5000
Mn 0.0838 0.4172 0.4996
Mn 0.4172 0.0838 0.9996
Mn 0.4170 0.5843 0.9989
Mn 0.5843 0.4170 0.4989
Mn 0.9166 0.0834 0.0000
F 0.0773 0.3711 0.1012
F 0.1180 0.9640 0.0980
F 0.2024 0.7158 0.4005
F 0.2355 0.2478 0.8809
F 0.2478 0.2355 0.3809
F 0.2897 0.7927 0.8998
F 0.3711 0.0773 0.6012
F 0.3756 0.5447 0.5998
F 0.5447 0.3756 0.0998
F 0.5989 0.9195 0.1193
F 0.7158 0.2024 0.9005
F 0.7569 0.7971 0.8974
F 0.7927 0.2897 0.3998
F 0.7971 0.7569 0.3974
F 0.9195 0.5989 0.6193
F 0.9640 0.1180 0.5980

The 10 most intense peaks (15 to 90 degrees two-theta), in order of rising 2θ:
- 15.83°, I = 15
- 18.45°, I = 37
- 18.62°, I = 17
- 19.12°, I = 100
- 33.31°, I = 15
- 33.62°, I = 16
- 37.40°, I = 28
- 43.41°, I = 17
- 43.89°, I = 15
- 56.87°, I = 17